No. 1
CsGaGeO4: calculated X-ray diffraction stick pattern (a wavelength of 1.5418 Å), based on a PBE-relaxed structure.
Peak positions follow from Bragg's law for the DFT cell and can differ from measured ones.

Crystal structure
a b c (Å): 5.368 5.600 7.874
angles (deg): 90.00 90.80 90.00
Fractional coordinates of all 14 atoms:
1 Cs 0.241 0.250 0.108
2 Cs 0.759 0.750 0.892
3 Ga 0.170 0.750 0.472
4 Ga 0.830 0.250 0.528
5 Ge 0.342 0.250 0.632
6 Ge 0.658 0.750 0.368
7 O 0.103 0.021 0.644
8 O 0.103 0.479 0.644
9 O 0.384 0.750 0.241
10 O 0.489 0.250 0.433
11 O 0.511 0.750 0.567
12 O 0.616 0.250 0.759
13 O 0.897 0.521 0.356
14 O 0.897 0.979 0.356

Top 10 peaks for 2θ = 10–90°, sorted by position:
2θ = 11.2°, I = 34
2θ = 23.0°, I = 50
2θ = 25.7°, I = 58
2θ = 27.7°, I = 100
2θ = 27.9°, I = 52
2θ = 28.3°, I = 24
2θ = 32.0°, I = 57
2θ = 42.9°, I = 25
2θ = 44.2°, I = 36
2θ = 51.9°, I = 34

=====

No. 2
Rb2NaSb: calculated X-ray diffraction stick pattern (a wavelength of 1.5418 Å), based on a PBE-relaxed structure.
Peak positions follow from Bragg's law for the DFT cell and can differ from measured ones.

Crystal structure
a b c (Å): 12.940 5.915 12.503
angles (deg): 90.00 119.97 90.00
Fractional coordinates of all 16 atoms:
1 Rb 0.175 0.097 0.094
2 Rb 0.175 0.903 0.594
3 Rb 0.325 0.403 0.906
4 Rb 0.325 0.597 0.406
5 Rb 0.675 0.403 0.594
6 Rb 0.675 0.597 0.094
7 Rb 0.825 0.097 0.406
8 Rb 0.825 0.903 0.906
9 Na 0.000 0.381 0.250
10 Na 0.000 0.619 0.750
11 Na 0.500 0.119 0.750
12 Na 0.500 0.881 0.250
13 Sb 0.000 0.119 0.750
14 Sb 0.000 0.881 0.250
15 Sb 0.500 0.381 0.250
16 Sb 0.500 0.619 0.750

Top 10 peaks for 2θ = 10–90°, sorted by position:
2θ = 17.0°, I = 100
2θ = 26.0°, I = 25
2θ = 26.3°, I = 30
2θ = 27.6°, I = 51
2θ = 28.1°, I = 47
2θ = 28.6°, I = 47
2θ = 33.3°, I = 77
2θ = 39.4°, I = 35
2θ = 48.4°, I = 19
2θ = 49.1°, I = 23

=====

No. 3
Er8Th3: calculated X-ray diffraction stick pattern (a wavelength of 1.5418 Å), based on a PBE-relaxed structure.
Peak positions follow from Bragg's law for the DFT cell and can differ from measured ones.

Crystal structure
a b c (Å): 7.764 7.764 7.764
angles (deg): 108.62 108.62 108.62
Fractional coordinates of all 11 atoms:
1 Er 0.187 0.668 0.504
2 Er 0.246 0.246 0.246
3 Er 0.332 0.496 0.813
4 Er 0.496 0.813 0.332
5 Er 0.504 0.187 0.668
6 Er 0.668 0.504 0.187
7 Er 0.754 0.754 0.754
8 Er 0.813 0.332 0.496
9 Th 0.000 0.000 0.500
10 Th 0.000 0.500 0.000
11 Th 0.500 0.000 0.000

Top 10 peaks for 2θ = 10–90°, sorted by position:
2θ = 24.2°, I = 37
2θ = 28.3°, I = 51
2θ = 31.0°, I = 100
2θ = 31.5°, I = 20
2θ = 33.2°, I = 22
2θ = 34.7°, I = 52
2θ = 36.2°, I = 20
2θ = 37.6°, I = 20
2θ = 37.7°, I = 24
2θ = 64.5°, I = 24

=====

No. 4
Zr2TiAl2: calculated X-ray diffraction stick pattern (a wavelength of 1.5418 Å), based on a PBE-relaxed structure.
Peak positions follow from Bragg's law for the DFT cell and can differ from measured ones.

Crystal structure
a b c (Å): 7.614 7.614 5.762
angles (deg): 90.00 90.00 145.36
Fractional coordinates of all 10 atoms:
1 Zr 0.005 0.995 0.500
2 Zr 0.200 0.800 0.981
3 Zr 0.800 0.200 0.481
4 Zr 0.995 0.005 0.000
5 Ti 0.398 0.602 0.728
6 Ti 0.602 0.398 0.228
7 Al 0.194 0.806 0.475
8 Al 0.396 0.604 0.240
9 Al 0.604 0.396 0.740
10 Al 0.806 0.194 0.975

Top 10 peaks for 2θ = 10–90°, sorted by position:
2θ = 20.5°, I = 28
2θ = 25.7°, I = 23
2θ = 36.7°, I = 100
2θ = 37.5°, I = 82
2θ = 39.8°, I = 40
2θ = 39.9°, I = 34
2θ = 48.8°, I = 20
2θ = 49.1°, I = 19
2θ = 57.6°, I = 22
2θ = 76.8°, I = 20

=====

No. 5
CaPr4Tm5: calculated X-ray diffraction stick pattern (a wavelength of 1.5418 Å), based on a PBE-relaxed structure.
Peak positions follow from Bragg's law for the DFT cell and can differ from measured ones.

Crystal structure
a b c (Å): 8.990 8.990 11.821
angles (deg): 104.30 104.30 22.99
Fractional coordinates of all 10 atoms:
1 Ca 0.000 0.000 0.000
2 Pr 0.193 0.193 0.730
3 Pr 0.482 0.482 0.253
4 Pr 0.518 0.518 0.747
5 Pr 0.807 0.807 0.270
6 Tm 0.000 0.000 0.500
7 Tm 0.330 0.330 0.014
8 Tm 0.336 0.336 0.551
9 Tm 0.664 0.664 0.449
10 Tm 0.670 0.670 0.986

Top 10 peaks for 2θ = 10–90°, sorted by position:
2θ = 11.3°, I = 20
2θ = 26.2°, I = 11
2θ = 27.9°, I = 12
2θ = 29.1°, I = 14
2θ = 31.3°, I = 26
2θ = 31.5°, I = 100
2θ = 35.3°, I = 56
2θ = 38.6°, I = 14
2θ = 53.5°, I = 16
2θ = 61.0°, I = 14

=====

No. 6
Ce3PmPr3Te8: calculated X-ray diffraction stick pattern (a wavelength of 1.5418 Å), based on a PBE-relaxed structure.
Peak positions follow from Bragg's law for the DFT cell and can differ from measured ones.

Crystal structure
a b c (Å): 9.006 9.006 9.006
angles (deg): 59.86 59.86 59.86
Fractional coordinates of all 15 atoms:
1 Ce 0.000 0.500 0.500
2 Ce 0.500 0.000 0.500
3 Ce 0.500 0.500 0.000
4 Pm 0.000 0.000 0.000
5 Pr 0.000 0.000 0.500
6 Pr 0.000 0.500 0.000
7 Pr 0.500 0.000 0.000
8 Te 0.251 0.251 0.251
9 Te 0.253 0.253 0.745
10 Te 0.253 0.745 0.253
11 Te 0.255 0.747 0.747
12 Te 0.745 0.253 0.253
13 Te 0.747 0.255 0.747
14 Te 0.747 0.747 0.255
15 Te 0.749 0.749 0.749

Top 10 peaks for 2θ = 10–90°, sorted by position:
2θ = 12.0°, I = 4
2θ = 28.1°, I = 100
2θ = 40.1°, I = 76
2θ = 49.5°, I = 7
2θ = 49.7°, I = 20
2θ = 58.0°, I = 13
2θ = 65.6°, I = 18
2θ = 65.7°, I = 18
2θ = 72.7°, I = 7
2θ = 72.9°, I = 19

=====

No. 7
CsNb2S4: calculated X-ray diffraction stick pattern (a wavelength of 1.5418 Å), based on a PBE-relaxed structure.
Peak positions follow from Bragg's law for the DFT cell and can differ from measured ones.

Crystal structure
a b c (Å): 5.832 17.487 3.473
angles (deg): 90.00 90.00 90.00
Fractional coordinates of all 14 atoms:
1 Cs 0.000 0.000 0.000
2 Cs 0.500 0.500 0.500
3 Nb 0.005 0.250 0.000
4 Nb 0.495 0.750 0.500
5 Nb 0.505 0.250 0.500
6 Nb 0.995 0.750 0.000
7 S 0.158 0.662 0.500
8 S 0.160 0.838 0.500
9 S 0.340 0.338 0.000
10 S 0.342 0.162 0.000
11 S 0.658 0.838 0.000
12 S 0.660 0.662 0.000
13 S 0.840 0.162 0.500
14 S 0.842 0.338 0.500

Top 10 peaks for 2θ = 10–90°, sorted by position:
2θ = 10.1°, I = 66
2θ = 16.0°, I = 46
2θ = 20.3°, I = 45
2θ = 21.6°, I = 24
2θ = 29.9°, I = 48
2θ = 30.7°, I = 21
2θ = 36.5°, I = 100
2θ = 37.1°, I = 42
2θ = 51.9°, I = 29
2θ = 54.1°, I = 24

=====

No. 8
PaCdRh2O8: calculated X-ray diffraction stick pattern (a wavelength of 1.5418 Å), based on a PBE-relaxed structure.
Peak positions follow from Bragg's law for the DFT cell and can differ from measured ones.

Crystal structure
a b c (Å): 6.099 6.099 6.099
angles (deg): 107.78 107.78 112.91
Fractional coordinates of all 12 atoms:
1 Pa 0.000 0.000 0.000
2 Cd 0.250 0.750 0.500
3 Rh 0.500 0.500 0.000
4 Rh 0.750 0.250 0.500
5 O 0.286 0.115 0.828
6 O 0.286 0.458 0.172
7 O 0.369 0.055 0.314
8 O 0.542 0.714 0.828
9 O 0.741 0.055 0.686
10 O 0.885 0.714 0.172
11 O 0.945 0.259 0.314
12 O 0.945 0.631 0.686

Top 10 peaks for 2θ = 10–90°, sorted by position:
2θ = 18.0°, I = 19
2θ = 24.8°, I = 100
2θ = 31.9°, I = 79
2θ = 35.3°, I = 26
2θ = 48.3°, I = 65
2θ = 50.8°, I = 15
2θ = 57.3°, I = 15
2θ = 60.7°, I = 15
2θ = 61.2°, I = 19
2θ = 72.7°, I = 15

=====

No. 9
Nd2InGe: calculated X-ray diffraction stick pattern (a wavelength of 1.5418 Å), based on a PBE-relaxed structure.
Peak positions follow from Bragg's law for the DFT cell and can differ from measured ones.

Crystal structure
a b c (Å): 5.018 5.018 4.272
angles (deg): 90.00 90.00 90.00
Fractional coordinates of all 4 atoms:
1 Nd 0.000 0.500 0.000
2 Nd 0.500 0.000 0.000
3 In 0.000 0.000 0.500
4 Ge 0.500 0.500 0.500

Top 10 peaks for 2θ = 10–90°, sorted by position:
2θ = 32.8°, I = 100
2θ = 35.8°, I = 40
2θ = 42.3°, I = 12
2θ = 51.5°, I = 14
2θ = 56.6°, I = 21
2θ = 62.4°, I = 31
2θ = 68.8°, I = 11
2θ = 71.4°, I = 10
2θ = 85.1°, I = 7
2θ = 86.8°, I = 6

=====

No. 10
SrAcZn4: calculated X-ray diffraction stick pattern (a wavelength of 1.5418 Å), based on a PBE-relaxed structure.
Peak positions follow from Bragg's law for the DFT cell and can differ from measured ones.

Crystal structure
a b c (Å): 4.463 4.463 15.605
angles (deg): 90.00 90.00 90.00
Fractional coordinates of all 12 atoms:
1 Sr 0.000 0.000 0.000
2 Sr 0.500 0.500 0.500
3 Ac 0.000 0.500 0.250
4 Ac 0.500 0.000 0.750
5 Zn 0.000 0.000 0.416
6 Zn 0.000 0.000 0.584
7 Zn 0.000 0.500 0.666
8 Zn 0.000 0.500 0.834
9 Zn 0.500 0.000 0.166
10 Zn 0.500 0.000 0.334
11 Zn 0.500 0.500 0.084
12 Zn 0.500 0.500 0.916

Top 10 peaks for 2θ = 10–90°, sorted by position:
2θ = 11.3°, I = 20
2θ = 26.3°, I = 41
2θ = 30.6°, I = 100
2θ = 35.1°, I = 56
2θ = 40.4°, I = 41
2θ = 45.5°, I = 27
2θ = 48.9°, I = 15
2θ = 54.6°, I = 31
2θ = 62.5°, I = 21
2θ = 67.4°, I = 20

=====

No. 11
AcMnPt3: calculated X-ray diffraction stick pattern (a wavelength of 1.5418 Å), based on a PBE-relaxed structure.
Peak positions follow from Bragg's law for the DFT cell and can differ from measured ones.

Crystal structure
a b c (Å): 6.364 6.364 5.909
angles (deg): 90.00 90.00 120.00
Fractional coordinates of all 10 atoms:
1 Ac 0.333 0.667 0.250
2 Ac 0.667 0.333 0.750
3 Mn 0.000 0.000 0.000
4 Mn 0.000 0.000 0.500
5 Pt 0.191 0.382 0.750
6 Pt 0.191 0.809 0.750
7 Pt 0.382 0.191 0.250
8 Pt 0.618 0.809 0.750
9 Pt 0.809 0.191 0.250
10 Pt 0.809 0.618 0.250

Top 10 peaks for 2θ = 10–90°, sorted by position:
2θ = 30.3°, I = 35
2θ = 32.5°, I = 16
2θ = 34.4°, I = 8
2θ = 36.0°, I = 100
2θ = 45.0°, I = 24
2θ = 52.1°, I = 9
2θ = 57.5°, I = 26
2θ = 58.0°, I = 15
2θ = 66.8°, I = 15
2θ = 70.1°, I = 14

=====

No. 12
ErCo6B3: calculated X-ray diffraction stick pattern (a wavelength of 1.5418 Å), based on a PBE-relaxed structure.
Peak positions follow from Bragg's law for the DFT cell and can differ from measured ones.

Crystal structure
a b c (Å): 4.952 5.014 5.516
angles (deg): 85.22 63.34 60.44
Fractional coordinates of all 10 atoms:
1 Er 0.000 0.000 0.000
2 Co 0.192 0.425 0.691
3 Co 0.309 0.053 0.330
4 Co 0.365 0.534 0.215
5 Co 0.692 0.424 0.691
6 Co 0.750 0.898 0.599
7 Co 0.886 0.534 0.215
8 B 0.406 0.679 0.511
9 B 0.409 0.230 0.952
10 B 0.668 0.708 0.955

Top 10 peaks for 2θ = 10–90°, sorted by position:
2θ = 23.4°, I = 23
2θ = 33.2°, I = 40
2θ = 36.2°, I = 34
2θ = 38.9°, I = 16
2θ = 39.3°, I = 19
2θ = 42.1°, I = 100
2θ = 42.4°, I = 26
2θ = 43.0°, I = 15
2θ = 46.1°, I = 19
2θ = 52.8°, I = 24